[1]
Starting from a cell relaxed with GGA-PBE, the powder X-ray diffraction pattern of Ho2Al6Ru was computed for Cu Kα.
Lines closer than 0.1° are merged.

Peak list (12 most intense, 10° ≤ 2θ ≤ 90°, low angle first)
2θ 14.88, I 69.3; 2θ 23.34, I 59.8; 2θ 31.23, I 77.8; 2θ 34.76, I 100.0; 2θ 35.15, I 90.6; 2θ 39.35, I 66.7; 2θ 47.72, I 20.4; 2θ 49.45, I 30.4; 2θ 57.88, I 23.0; 2θ 58.14, I 40.3; 2θ 65.15, I 23.1; 2θ 68.89, I 23.7

Cell lengths 5.7278, 5.7278, 5.9555 Å; angles 90.00, 90.00, 120.00 degrees
Atoms (fractional coordinates):
Ho 0.3333 0.6667 0.3684
Ho 0.6667 0.3333 0.6316
Al 0.1706 0.3413 0.8184
Al 0.1706 0.8294 0.8184
Al 0.3413 0.1706 0.1816
Al 0.6587 0.8294 0.8184
Al 0.8294 0.1706 0.1816
Al 0.8294 0.6587 0.1816
Ru 0.0000 0.0000 0.5000

***

[2]
Starting from a cell relaxed with GGA-PBE, the powder X-ray diffraction pattern of Rb2NbRh was computed for Cu Kα.
Lines closer than 0.1° are merged.

Peak list (12 most intense, 10° ≤ 2θ ≤ 90°, low angle first)
2θ 13.68, I 100.0; 2θ 19.45, I 40.4; 2θ 21.71, I 39.8; 2θ 23.89, I 39.4; 2θ 27.57, I 46.5; 2θ 30.90, I 91.4; 2θ 33.98, I 21.5; 2θ 38.27, I 26.7; 2θ 43.25, I 34.0; 2θ 44.26, I 20.8; 2θ 47.81, I 20.7; 2θ 52.06, I 23.0

Cell lengths 9.4705, 9.4705, 9.4705 Å; angles 93.79, 93.79, 150.22 degrees
Atoms (fractional coordinates):
Rb 0.3750 0.2017 0.3267
Rb 0.7983 0.1250 0.1733
Rb 0.8750 0.0483 0.6733
Rb 0.9517 0.6250 0.8267
Nb 0.2500 0.7500 0.5000
Nb 0.5000 0.5000 0.0000
Rh 0.0000 0.0000 0.0000
Rh 0.7500 0.2500 0.5000

***

[3]
Starting from a cell relaxed with GGA-PBE, the powder X-ray diffraction pattern of Tm3Mg3Cd2 was computed for Cu Kα.
Lines closer than 0.1° are merged.

Peak list (12 most intense, 10° ≤ 2θ ≤ 90°, low angle first)
2θ 17.39, I 20.8; 2θ 20.98, I 10.4; 2θ 24.71, I 10.6; 2θ 29.30, I 12.0; 2θ 34.28, I 100.0; 2θ 35.22, I 46.7; 2θ 47.82, I 9.6; 2θ 50.66, I 16.5; 2θ 60.77, I 18.6; 2θ 62.60, I 34.3; 2θ 72.22, I 11.1; 2θ 80.26, I 8.1

Cell lengths 5.0939, 5.0988, 7.6079 Å; angles 90.00, 90.00, 90.00 degrees
Atoms (fractional coordinates):
Tm 0.0000 0.0000 0.0000
Tm 0.0000 0.0000 0.5000
Tm 0.5000 0.5000 0.0000
Mg 0.0000 0.5000 0.2631
Mg 0.0000 0.5000 0.7369
Mg 0.5000 0.5000 0.5000
Cd 0.5000 0.0000 0.2578
Cd 0.5000 0.0000 0.7422

***

[4]
Starting from a cell relaxed with GGA-PBE, the powder X-ray diffraction pattern of LiHoZnCl6 was computed for Cu Kα.
Lines closer than 0.1° are merged.

Peak list (12 most intense, 10° ≤ 2θ ≤ 90°, low angle first)
2θ 14.91, I 67.4; 2θ 15.76, I 45.4; 2θ 17.45, I 23.3; 2θ 21.77, I 44.7; 2θ 27.51, I 26.1; 2θ 31.41, I 100.0; 2θ 41.20, I 69.6; 2θ 48.59, I 36.5; 2θ 51.11, I 17.0; 2θ 54.26, I 21.5; 2θ 65.55, I 15.2; 2θ 85.67, I 14.8

Cell lengths 6.4915, 6.4915, 11.8816 Å; angles 90.00, 90.00, 120.00 degrees
Atoms (fractional coordinates):
Li 0.0000 0.0000 0.0000
Li 0.0000 0.0000 0.5000
Ho 0.3333 0.6667 0.2500
Ho 0.6667 0.3333 0.7500
Zn 0.3333 0.6667 0.7500
Zn 0.6667 0.3333 0.2500
Cl 0.0166 0.3527 0.6288
Cl 0.0166 0.6639 0.8712
Cl 0.3361 0.3527 0.8712
Cl 0.3361 0.9834 0.6288
Cl 0.3527 0.0166 0.1288
Cl 0.3527 0.3361 0.3712
Cl 0.6473 0.6639 0.6288
Cl 0.6473 0.9834 0.8712
Cl 0.6639 0.0166 0.3712
Cl 0.6639 0.6473 0.1288
Cl 0.9834 0.3361 0.1288
Cl 0.9834 0.6473 0.3712